# CeTiGe3
Simulated powder X-ray diffraction pattern, CuKα. Input: a DFT-relaxed cell (PBE, the Materials Project).
No peak broadening, texture or thermal motion is included.

Main lines, by angle (2θ from 10° to 80°):
hkl 1 1 0, 2θ = 28.39°, I = 22.4
hkl 0 0 2, 2θ = 30.75°, I = 32.5
hkl 2 0 0, 2θ = 32.89°, I = 12.1
hkl 1 0 2, 2θ = 34.98°, I = 22.5
hkl 2 0 1, 2θ = 36.44°, I = 100.0
hkl 2 0 2, 2θ = 45.65°, I = 30.1
hkl 2 1 1, 2θ = 46.82°, I = 16.4
hkl 2 0 3, 2θ = 58.44°, I = 25.0
hkl 2 2 0, 2θ = 58.73°, I = 15.2
hkl 4 0 1, 2θ = 71.13°, I = 12.8

Cell: 6.2881 6.2881 5.8155 Å, 90.00 90.00 120.00°
Space group P6_3/mmc (No. 194)
Unique sites:
Ce (0.3333, 0.6667, 0.2500) x2
Ti (0.0000, 0.0000, 0.0000) x2
Ge (0.1977, 0.3955, 0.7500) x6